Starting from the PBE geometry in Alexandria, the PXRD pattern of PSe4Cl6 was computed for Cu Kα (λ = 1.5418 Å).

Structure:
a = 11.2501 Å, b = 11.2501 Å, c = 11.7253 Å
α = 90.00°, β = 90.00°, γ = 90.00°
Space group P4_2/ncm (No. 138, origin choice 2)
One atom of each set of equivalent atoms:
P (0.0000, 0.0000, 0.0000) (multiplicity 4)
Se (0.0980, 0.0980, 0.4482) (multiplicity 8)
Se (0.1055, 0.6055, 0.0000) (multiplicity 8)
Cl (0.0434, 0.6517, 0.6116) (multiplicity 16)
Cl (0.1112, 0.1112, 0.1029) (multiplicity 8)

The 12 most intense peaks (2θ from 10° to 80°), in order of rising 2θ:
| d [Å] | 2theta | intensity | hkl |
| --- | --- | --- | --- |
| 6.583 | 13.45 | 15 | 1 1 1 |
| 5.863 | 15.11 | 100 | 0 0 2 |
| 5.625 | 15.75 | 43 | 2 0 0 |
| 4.059 | 21.90 | 19 | 2 0 2 |
| 3.508 | 25.39 | 29 | 1 1 3 |
| 3.087 | 28.93 | 16 | 2 1 3 |
| 2.813 | 31.82 | 25 | 4 0 0 |
| 2.631 | 34.08 | 13 | 3 1 3 |
| 2.536 | 35.40 | 20 | 4 0 2 |
| 2.438 | 36.86 | 12 | 3 2 3 |
| 2.168 | 41.65 | 27 | 5 1 1 |
| 1.921 | 47.31 | 17 | 5 1 3 |

Starting from the PBE geometry in Alexandria, the PXRD pattern of Sm4PCl5 was computed for Cu Kα (λ = 1.5418 Å).

Structure:
a = 17.7520 Å, b = 4.0036 Å, c = 8.1539 Å
α = 90.00°, β = 103.92°, γ = 90.00°
Space group C2/m (No. 12)
One atom of each set of equivalent atoms:
Sm (0.9998, 0.0000, 0.2271) (multiplicity 4)
Sm (0.1540, 0.5000, 0.0886) (multiplicity 4)
P (0.0000, 0.5000, 0.0000) (multiplicity 2)
Cl (0.0000, 0.5000, 0.5000) (multiplicity 2)
Cl (0.1657, 0.0000, 0.3339) (multiplicity 4)
Cl (0.1717, 0.0000, 0.8484) (multiplicity 4)

The 12 most intense peaks (2θ from 10° to 80°), in order of rising 2θ:
| d [Å] | 2theta | intensity | hkl |
| --- | --- | --- | --- |
| 8.615 | 10.27 | 36 | 2 0 0 |
| 7.914 | 11.18 | 78 | 0 0 1 |
| 5.234 | 16.94 | 16 | 2 0 1 |
| 3.284 | 27.15 | 32 | 3 1 0 |
| 2.896 | 30.88 | 17 | 3 1 1 |
| 2.872 | 31.14 | 48 | 6 0 0 |
| 2.856 | 31.31 | 100 | 1 1 -2 |
| 2.038 | 44.45 | 16 | 2 0 -4 |
| 2.033 | 44.56 | 32 | 7 1 -2 |
| 2.017 | 44.94 | 34 | 5 1 2 |
| 2.002 | 45.30 | 18 | 0 2 0 |
| 1.642 | 56.00 | 17 | 6 2 0 |

Starting from the PBE geometry in Alexandria, the PXRD pattern of Sm8P6Cl was computed for Cu Kα (λ = 1.5418 Å).

Structure:
a = 10.8436 Å, b = 10.8436 Å, c = 4.2123 Å
α = 90.00°, β = 90.00°, γ = 120.00°
Space group P-3 (No. 147)
One atom of each set of equivalent atoms:
Sm (0.0363, 0.3681, 0.2550) (multiplicity 6)
Sm (0.3333, 0.6667, 0.7474) (multiplicity 2)
P (0.1419, 0.6659, 0.2459) (multiplicity 6)
Cl (0.0000, 0.0000, 0.5000) (multiplicity 1)

The 12 most intense peaks (2θ from 10° to 80°), in order of rising 2θ:
| d [Å] | 2theta | intensity | hkl |
| --- | --- | --- | --- |
| 3.326 | 26.80 | 67 | 1 1 1 |
| 3.132 | 28.50 | 100 | 3 0 0 |
| 2.714 | 33.00 | 33 | 3 -2 1 |
| 2.280 | 39.53 | 31 | 4 -2 1 |
| 2.106 | 42.94 | 13 | 0 0 2 |
| 1.918 | 47.40 | 24 | 2 3 1 |
| 1.843 | 49.46 | 16 | 4 1 1 |
| 1.807 | 50.50 | 9 | 3 3 0 |
| 1.747 | 52.36 | 24 | 3 0 2 |
| 1.637 | 56.21 | 11 | 6 -2 1 |
| 1.566 | 58.97 | 13 | 6 -5 1 |
| 1.244 | 76.56 | 13 | 2 6 1 |

Starting from the PBE geometry in Alexandria, the PXRD pattern of SnPCl9 was computed for Cu Kα (λ = 1.5418 Å).

Structure:
a = 12.5767 Å, b = 17.0511 Å, c = 6.7496 Å
α = 90.00°, β = 90.00°, γ = 90.00°
Space group Cmme (No. 67)
One atom of each set of equivalent atoms:
Sn (0.0000, 0.2500, 0.0860) (multiplicity 4)
P (0.2500, 0.0000, 0.5000) (multiplicity 4)
Cl (0.0000, 0.1053, 0.0788) (multiplicity 8)
Cl (0.0000, 0.2500, 0.7329) (multiplicity 4)
Cl (0.1601, 0.0659, 0.6690) (multiplicity 16)
Cl (0.1635, 0.2500, 0.2609) (multiplicity 8)

The 12 most intense peaks (2θ from 10° to 80°), in order of rising 2θ:
| d [Å] | 2theta | intensity | hkl |
| --- | --- | --- | --- |
| 8.526 | 10.38 | 21 | 0 2 0 |
| 6.288 | 14.08 | 18 | 2 0 0 |
| 5.292 | 16.75 | 66 | 0 2 1 |
| 5.061 | 17.52 | 75 | 2 2 0 |
| 4.601 | 19.29 | 100 | 2 0 1 |
| 4.263 | 20.84 | 27 | 0 4 0 |
| 4.109 | 21.63 | 26 | 1 3 1 |
| 3.202 | 27.87 | 45 | 1 1 2 |
| 3.018 | 29.60 | 50 | 3 3 1 |
| 2.845 | 31.45 | 53 | 0 6 0 |
| 2.386 | 37.70 | 22 | 3 3 2 |
| 1.969 | 46.10 | 25 | 3 1 3 |

Starting from the PBE geometry in Alexandria, the PXRD pattern of VSnPCl2 was computed for Cu Kα (λ = 1.5418 Å).

Structure:
a = 4.7297 Å, b = 4.7297 Å, c = 4.9619 Å
α = 90.00°, β = 90.00°, γ = 90.00°
Space group P4/mmm (No. 123)
One atom of each set of equivalent atoms:
V (0.0000, 0.0000, 0.0000) (multiplicity 1)
Sn (0.5000, 0.5000, 0.5000) (multiplicity 1)
P (0.0000, 0.0000, 0.5000) (multiplicity 1)
Cl (0.0000, 0.5000, 0.0000) (multiplicity 2)

The 12 most intense peaks (2θ from 10° to 80°), in order of rising 2θ:
| d [Å] | 2theta | intensity | hkl |
| --- | --- | --- | --- |
| 3.424 | 26.03 | 100 | 1 0 1 |
| 3.344 | 26.65 | 40 | 1 1 0 |
| 2.773 | 32.28 | 89 | 1 1 1 |
| 2.481 | 36.21 | 40 | 0 0 2 |
| 2.365 | 38.05 | 69 | 2 0 0 |
| 1.993 | 45.52 | 20 | 1 1 2 |
| 1.946 | 46.68 | 42 | 2 1 1 |
| 1.712 | 53.53 | 49 | 2 0 2 |
| 1.672 | 54.91 | 23 | 2 2 0 |
| 1.483 | 62.66 | 13 | 1 1 3 |
| 1.432 | 65.14 | 23 | 3 1 1 |
| 1.387 | 67.55 | 24 | 2 2 2 |

Starting from the PBE geometry in Alexandria, the PXRD pattern of ZnSnP2Cl was computed for Cu Kα (λ = 1.5418 Å).

Structure:
a = 4.6154 Å, b = 4.6154 Å, c = 5.2485 Å
α = 90.00°, β = 90.00°, γ = 90.00°
Space group P4/mmm (No. 123)
One atom of each set of equivalent atoms:
Zn (0.0000, 0.0000, 0.0000) (multiplicity 1)
Sn (0.5000, 0.5000, 0.5000) (multiplicity 1)
P (0.0000, 0.5000, 0.0000) (multiplicity 2)
Cl (0.0000, 0.0000, 0.5000) (multiplicity 1)

The 12 most intense peaks (2θ from 10° to 80°), in order of rising 2θ:
| d [Å] | 2theta | intensity | hkl |
| --- | --- | --- | --- |
| 3.466 | 25.70 | 100 | 1 0 1 |
| 3.264 | 27.33 | 49 | 1 1 0 |
| 2.771 | 32.30 | 51 | 1 1 1 |
| 2.624 | 34.17 | 42 | 0 0 2 |
| 2.308 | 39.03 | 58 | 2 0 0 |
| 2.045 | 44.29 | 27 | 1 1 2 |
| 1.921 | 47.32 | 41 | 2 1 1 |
| 1.733 | 52.83 | 46 | 2 0 2 |
| 1.636 | 56.23 | 12 | 1 0 3 |
| 1.632 | 56.39 | 19 | 2 2 0 |
| 1.386 | 67.60 | 22 | 2 2 2 |
| 1.335 | 70.57 | 13 | 2 1 3 |

Starting from the PBE geometry in Alexandria, the PXRD pattern of ZrSnP2Cl was computed for Cu Kα (λ = 1.5418 Å).

Structure:
a = 5.0967 Å, b = 5.0967 Å, c = 4.9594 Å
α = 90.00°, β = 90.00°, γ = 90.00°
Space group P4/mmm (No. 123)
One atom of each set of equivalent atoms:
Zr (0.0000, 0.0000, 0.0000) (multiplicity 1)
Sn (0.5000, 0.5000, 0.5000) (multiplicity 1)
P (0.0000, 0.5000, 0.0000) (multiplicity 2)
Cl (0.0000, 0.0000, 0.5000) (multiplicity 1)

The 12 most intense peaks (2θ from 10° to 80°), in order of rising 2θ:
| d [Å] | 2theta | intensity | hkl |
| --- | --- | --- | --- |
| 3.604 | 24.70 | 58 | 1 1 0 |
| 3.554 | 25.05 | 100 | 1 0 1 |
| 2.915 | 30.67 | 31 | 1 1 1 |
| 2.548 | 35.22 | 64 | 2 0 0 |
| 2.480 | 36.23 | 29 | 0 0 2 |
| 2.071 | 43.71 | 47 | 2 1 1 |
| 2.043 | 44.34 | 25 | 1 1 2 |
| 1.802 | 50.66 | 22 | 2 2 0 |
| 1.777 | 51.42 | 42 | 2 0 2 |
| 1.458 | 63.86 | 22 | 2 2 2 |
| 1.359 | 69.09 | 13 | 3 2 1 |
| 1.351 | 69.57 | 13 | 3 1 2 |

Starting from the PBE geometry in Alexandria, the PXRD pattern of SrPCl2 was computed for Cu Kα (λ = 1.5418 Å).

Structure:
a = 12.6536 Å, b = 3.7116 Å, c = 5.1801 Å
α = 90.00°, β = 90.90°, γ = 90.00°
Space group C2/m (No. 12)
One atom of each set of equivalent atoms:
Sr (0.0000, 0.0000, 0.0000) (multiplicity 2)
P (0.0000, 0.5000, 0.5000) (multiplicity 2)
Cl (0.1552, 0.5000, 0.2306) (multiplicity 4)

The 12 most intense peaks (2θ from 10° to 80°), in order of rising 2θ:
| d [Å] | 2theta | intensity | hkl |
| --- | --- | --- | --- |
| 6.326 | 14.00 | 93 | 2 0 0 |
| 5.179 | 17.12 | 28 | 0 0 1 |
| 4.039 | 22.01 | 56 | 2 0 -1 |
| 2.929 | 30.52 | 100 | 1 1 1 |
| 2.786 | 32.13 | 47 | 3 1 0 |
| 2.464 | 36.46 | 26 | 3 1 -1 |
| 2.443 | 36.79 | 40 | 3 1 1 |
| 2.410 | 37.31 | 24 | 2 0 -2 |
| 2.109 | 42.89 | 21 | 6 0 0 |
| 2.090 | 43.29 | 18 | 1 1 2 |
| 1.948 | 46.64 | 33 | 5 1 -1 |
| 1.556 | 59.38 | 19 | 1 1 -3 |

Starting from the PBE geometry in Alexandria, the PXRD pattern of Tc2PCl was computed for Cu Kα (λ = 1.5418 Å).

Structure:
a = 6.2156 Å, b = 3.5672 Å, c = 6.9293 Å
α = 90.00°, β = 115.20°, γ = 90.00°
Space group C2/m (No. 12)
One atom of each set of equivalent atoms:
Tc (0.0912, 0.0000, 0.3398) (multiplicity 4)
P (0.0000, 0.5000, 0.5000) (multiplicity 2)
Cl (0.0000, 0.5000, 0.0000) (multiplicity 2)

The 12 most intense peaks (2θ from 10° to 80°), in order of rising 2θ:
| d [Å] | 2theta | intensity | hkl |
| --- | --- | --- | --- |
| 6.270 | 14.13 | 98 | 0 0 1 |
| 3.107 | 28.73 | 23 | 2 0 -1 |
| 3.012 | 29.66 | 32 | 1 1 0 |
| 2.812 | 31.82 | 29 | 2 0 0 |
| 2.756 | 32.48 | 22 | 2 0 -2 |
| 2.502 | 35.90 | 65 | 1 1 1 |
| 2.472 | 36.34 | 100 | 1 1 -2 |
| 2.235 | 40.35 | 25 | 2 0 1 |
| 2.090 | 43.29 | 23 | 0 0 3 |
| 1.936 | 46.92 | 27 | 1 1 -3 |
| 1.784 | 51.22 | 23 | 0 2 0 |
| 1.768 | 51.71 | 34 | 3 1 -2 |

Starting from the PBE geometry in Alexandria, the PXRD pattern of TePCl9 was computed for Cu Kα (λ = 1.5418 Å).

Structure:
a = 17.3355 Å, b = 12.9438 Å, c = 12.8328 Å
α = 90.00°, β = 90.00°, γ = 90.00°
Space group Ima2 (No. 46)
One atom of each set of equivalent atoms:
Te (0.2500, 0.0002, 0.0000) (multiplicity 4)
Te (0.2500, 0.0951, 0.5830) (multiplicity 4)
P (0.0220, 0.7262, 0.7828) (multiplicity 8)
Cl (0.0410, 0.1439, 0.1864) (multiplicity 8)
Cl (0.0427, 0.1782, 0.8623) (multiplicity 8)
Cl (0.0752, 0.6320, 0.8796) (multiplicity 8)
Cl (0.0992, 0.6955, 0.2038) (multiplicity 8)
Cl (0.1035, 0.0879, 0.5782) (multiplicity 8)
Cl (0.1026, 0.5033, 0.5027) (multiplicity 8)
Cl (0.2500, 0.0873, 0.8105) (multiplicity 4)
Cl (0.2500, 0.1090, 0.3977) (multiplicity 4)
Cl (0.2500, 0.1954, 0.1021) (multiplicity 4)
Cl (0.2500, 0.5778, 0.6747) (multiplicity 4)
Cl (0.2500, 0.5960, 0.0742) (multiplicity 4)
Cl (0.2500, 0.6686, 0.4194) (multiplicity 4)

The 12 most intense peaks (2θ from 10° to 80°), in order of rising 2θ:
| d [Å] | 2theta | intensity | hkl |
| --- | --- | --- | --- |
| 8.668 | 10.21 | 21 | 2 0 0 |
| 5.472 | 16.20 | 24 | 1 2 1 |
| 5.169 | 17.15 | 100 | 2 0 2 |
| 4.557 | 19.48 | 45 | 0 2 2 |
| 4.334 | 20.49 | 25 | 4 0 0 |
| 4.087 | 21.75 | 27 | 0 3 1 |
| 3.038 | 29.40 | 35 | 3 2 3 |
| 2.889 | 30.95 | 26 | 6 0 0 |
| 2.538 | 35.37 | 17 | 0 5 1 |
| 2.518 | 35.66 | 17 | 0 1 5 |
| 2.437 | 36.88 | 15 | 2 5 1 |
| 2.277 | 39.57 | 17 | 0 4 4 |

Starting from the PBE geometry in Alexandria, the PXRD pattern of TlTeP2Cl was computed for Cu Kα (λ = 1.5418 Å).

Structure:
a = 5.0608 Å, b = 5.0608 Å, c = 5.7726 Å
α = 90.00°, β = 90.00°, γ = 90.00°
Space group P4/mmm (No. 123)
One atom of each set of equivalent atoms:
Tl (0.0000, 0.0000, 0.0000) (multiplicity 1)
Te (0.5000, 0.5000, 0.5000) (multiplicity 1)
P (0.0000, 0.5000, 0.5000) (multiplicity 2)
Cl (0.5000, 0.5000, 0.0000) (multiplicity 1)

The 12 most intense peaks (2θ from 10° to 80°), in order of rising 2θ:
| d [Å] | 2theta | intensity | hkl |
| --- | --- | --- | --- |
| 3.805 | 23.38 | 100 | 1 0 1 |
| 3.578 | 24.88 | 46 | 1 1 0 |
| 3.041 | 29.37 | 21 | 1 1 1 |
| 2.886 | 30.98 | 27 | 0 0 2 |
| 2.530 | 35.48 | 37 | 2 0 0 |
| 2.247 | 40.14 | 27 | 1 1 2 |
| 2.107 | 42.92 | 42 | 2 1 1 |
| 1.903 | 47.80 | 32 | 2 0 2 |
| 1.799 | 50.76 | 13 | 1 0 3 |
| 1.789 | 51.04 | 13 | 2 2 0 |
| 1.521 | 60.92 | 15 | 2 2 2 |
| 1.466 | 63.45 | 13 | 2 1 3 |

Starting from the PBE geometry in Alexandria, the PXRD pattern of Ti2PCl was computed for Cu Kα (λ = 1.5418 Å).

Structure:
a = 6.1992 Å, b = 6.1992 Å, c = 6.1992 Å
α = 90.00°, β = 90.00°, γ = 90.00°
Space group Fm-3m (No. 225)
One atom of each set of equivalent atoms:
Ti (0.2500, 0.2500, 0.2500) (multiplicity 8)
P (0.0000, 0.0000, 0.0000) (multiplicity 4)
Cl (0.0000, 0.0000, 0.5000) (multiplicity 4)

The 6 most intense peaks (2θ from 10° to 80°), in order of rising 2θ:
| d [Å] | 2theta | intensity | hkl |
| --- | --- | --- | --- |
| 3.100 | 28.80 | 4 | 2 0 0 |
| 2.192 | 41.19 | 100 | 2 2 0 |
| 1.790 | 51.04 | 1 | 2 2 2 |
| 1.550 | 59.66 | 15 | 4 0 0 |
| 1.386 | 67.58 | 1 | 4 2 0 |
| 1.265 | 75.07 | 29 | 4 2 2 |